Record 1
# Sr2NpAlS6
Theoretical X-ray diffraction stick pattern, Cu Kα, 1.54184 Å. Input: a DFT-relaxed cell (PBE, Alexandria).
Lines closer than 0.1° are merged.

Most intense lines, 2θ = 15–90°, by angle:
| d_spacing | 2θ (°) | I/Imax |
| --- | --- | --- |
| 5.718 | 15.50 | 99.8 |
| 5.532 | 16.02 | 54.8 |
| 4.883 | 18.17 | 57.4 |
| 3.463 | 25.73 | 100.0 |
| 3.437 | 25.93 | 100.0 |
| 2.919 | 30.63 | 83.1 |
| 2.444 | 36.77 | 77.8 |
| 2.434 | 36.93 | 50.9 |

Structural model:
```
data_Sr2NpAlS6
_chemical_formula_sum 'Sr4 Np2 Al2 S12'
_cell_length_a 6.7726
_cell_length_b 7.0646
_cell_length_c 11.8024
_cell_angle_alpha 90.00
_cell_angle_beta 124.41
_cell_angle_gamma 90.00
_space_group_name_H-M_alt 'P 1'
_space_group_IT_number 1
loop_
_space_group_symop_operation_xyz
'x,y,z'
loop_
_atom_site_label
_atom_site_fract_x
_atom_site_fract_y
_atom_site_fract_z
Sr1 0.2262 0.0695 0.2465
Sr2 0.2262 0.4305 0.7465
Sr3 0.7738 0.5695 0.2535
Sr4 0.7738 0.9305 0.7535
Np1 0.5000 0.0000 0.0000
Np2 0.5000 0.5000 0.5000
Al1 0.0000 0.0000 0.5000
Al2 0.0000 0.5000 0.0000
S1 0.1481 0.2099 0.9560
S2 0.1481 0.2901 0.4560
S3 0.2491 0.6941 0.9566
S4 0.2491 0.8059 0.4566
S5 0.3261 0.0149 0.7407
S6 0.3261 0.4851 0.2407
S7 0.6739 0.5149 0.7593
S8 0.6739 0.9851 0.2593
S9 0.7509 0.1941 0.5434
S10 0.7509 0.3059 0.0434
S11 0.8519 0.7099 0.5440
S12 0.8519 0.7901 0.0440
```



Record 2
# Ca3Ga2Ag3
Theoretical X-ray diffraction stick pattern, Cu Kα, 1.54184 Å. Input: a DFT-relaxed cell (PBE, Alexandria).
Lines closer than 0.1° are merged.

Most intense lines, 2θ = 15–90°, by angle:
| d_spacing | 2θ (°) | I/Imax |
| --- | --- | --- |
| 4.787 | 18.53 | 64.5 |
| 3.966 | 22.42 | 47.5 |
| 2.841 | 31.49 | 54.9 |
| 2.563 | 35.01 | 85.6 |
| 2.470 | 36.37 | 67.6 |
| 2.454 | 36.62 | 87.7 |
| 2.286 | 39.41 | 100.0 |
| 2.060 | 43.95 | 54.6 |

Structural model:
```
data_Ca3Ga2Ag3
_chemical_formula_sum 'Ca12 Ga8 Ag12'
_cell_length_a 8.0840
_cell_length_b 15.9781
_cell_length_c 5.9413
_cell_angle_alpha 90.00
_cell_angle_beta 90.00
_cell_angle_gamma 90.00
_space_group_name_H-M_alt 'P 1'
_space_group_IT_number 1
loop_
_space_group_symop_operation_xyz
'x,y,z'
loop_
_atom_site_label
_atom_site_fract_x
_atom_site_fract_y
_atom_site_fract_z
Ca1 0.0295 0.1066 0.1311
Ca2 0.0295 0.3934 0.1311
Ca3 0.1662 0.2500 0.6234
Ca4 0.3338 0.7500 0.1234
Ca5 0.4705 0.6066 0.6311
Ca6 0.4705 0.8934 0.6311
Ca7 0.5295 0.1066 0.3689
Ca8 0.5295 0.3934 0.3689
Ca9 0.6662 0.2500 0.8766
Ca10 0.8338 0.7500 0.3766
Ca11 0.9705 0.6066 0.8689
Ca12 0.9705 0.8934 0.8689
Ga1 0.1212 0.6092 0.3700
Ga2 0.1212 0.8908 0.3700
Ga3 0.3788 0.1092 0.8700
Ga4 0.3788 0.3908 0.8700
Ga5 0.6212 0.6092 0.1300
Ga6 0.6212 0.8908 0.1300
Ga7 0.8788 0.1092 0.6300
Ga8 0.8788 0.3908 0.6300
Ag1 0.1748 0.0343 0.5974
Ag2 0.1748 0.4657 0.5974
Ag3 0.1850 0.7500 0.6143
Ag4 0.3150 0.2500 0.1143
Ag5 0.3252 0.5343 0.0974
Ag6 0.3252 0.9657 0.0974
Ag7 0.6748 0.0343 0.9026
Ag8 0.6748 0.4657 0.9026
Ag9 0.6850 0.7500 0.8857
Ag10 0.8150 0.2500 0.3857
Ag11 0.8252 0.5343 0.4026
Ag12 0.8252 0.9657 0.4026
```



Record 3
# HfTi4Ga6
Theoretical X-ray diffraction stick pattern, Cu Kα, 1.54184 Å. Input: a DFT-relaxed cell (PBE, Alexandria).
Lines closer than 0.1° are merged.

Most intense lines, 2θ = 15–90°, by angle:
| d_spacing | 2θ (°) | I/Imax |
| --- | --- | --- |
| 4.910 | 18.07 | 28.9 |
| 2.945 | 30.35 | 100.0 |
| 2.779 | 32.21 | 72.3 |
| 2.455 | 36.60 | 33.2 |
| 2.318 | 38.85 | 27.0 |
| 2.246 | 40.15 | 43.2 |
| 2.191 | 41.21 | 75.8 |
| 2.170 | 41.63 | 25.2 |

Structural model:
```
data_HfTi4Ga6
_chemical_formula_sum 'Hf1 Ti4 Ga6'
_cell_length_a 6.7528
_cell_length_b 6.7528
_cell_length_c 6.7528
_cell_angle_alpha 118.12
_cell_angle_beta 118.12
_cell_angle_gamma 93.30
_space_group_name_H-M_alt 'P 1'
_space_group_IT_number 1
loop_
_space_group_symop_operation_xyz
'x,y,z'
loop_
_atom_site_label
_atom_site_fract_x
_atom_site_fract_y
_atom_site_fract_z
Hf1 0.0000 0.0000 0.0000
Ti1 0.2715 0.6062 0.0000
Ti2 0.3938 0.3938 0.6653
Ti3 0.6062 0.2715 0.0000
Ti4 0.7285 0.7285 0.3347
Ga1 0.0000 0.5000 0.5000
Ga2 0.1119 0.1119 0.6823
Ga3 0.4296 0.4296 0.3177
Ga4 0.5000 0.0000 0.5000
Ga5 0.5704 0.8881 0.0000
Ga6 0.8881 0.5704 0.0000
```



Record 4
# Pm3Ag3Au
Theoretical X-ray diffraction stick pattern, Cu Kα, 1.54184 Å. Input: a DFT-relaxed cell (PBE, Alexandria).
Lines closer than 0.1° are merged.

Most intense lines, 2θ = 15–90°, by angle:
| d_spacing | 2θ (°) | I/Imax |
| --- | --- | --- |
| 2.800 | 31.97 | 100.0 |
| 2.736 | 32.73 | 45.5 |
| 2.527 | 35.52 | 19.4 |
| 2.477 | 36.27 | 58.1 |
| 2.364 | 38.07 | 38.0 |
| 2.210 | 40.84 | 29.2 |
| 1.789 | 51.06 | 25.9 |
| 1.481 | 62.73 | 22.9 |

Structural model:
```
data_Pm3Ag3Au
_chemical_formula_sum 'Pm3 Ag3 Au1'
_cell_length_a 10.6090
_cell_length_b 10.6090
_cell_length_c 10.6090
_cell_angle_alpha 159.93
_cell_angle_beta 154.25
_cell_angle_gamma 32.86
_space_group_name_H-M_alt 'P 1'
_space_group_IT_number 1
loop_
_space_group_symop_operation_xyz
'x,y,z'
loop_
_atom_site_label
_atom_site_fract_x
_atom_site_fract_y
_atom_site_fract_z
Pm1 0.0000 0.0000 0.0000
Pm2 0.3777 0.3777 0.0000
Pm3 0.6968 0.1968 0.5000
Ag1 0.1233 0.6233 0.5000
Ag2 0.5465 0.5465 0.0000
Ag3 0.8371 0.8371 0.0000
Au1 0.2576 0.7576 0.5000
```



Record 5
# Sr2LaGaO5
Theoretical X-ray diffraction stick pattern, Cu Kα, 1.54184 Å. Input: a DFT-relaxed cell (PBE, Alexandria).
Lines closer than 0.1° are merged.

Most intense lines, 2θ = 15–90°, by angle:
| d_spacing | 2θ (°) | I/Imax |
| --- | --- | --- |
| 2.981 | 29.97 | 25.3 |
| 2.959 | 30.20 | 16.1 |
| 2.948 | 30.32 | 100.0 |
| 2.864 | 31.23 | 34.6 |
| 2.419 | 37.16 | 15.5 |
| 2.401 | 37.46 | 33.7 |
| 2.390 | 37.64 | 25.9 |
| 1.669 | 55.01 | 20.5 |

Structural model:
```
data_Sr2LaGaO5
_chemical_formula_sum 'Sr4 La2 Ga2 O10'
_cell_length_a 7.5298
_cell_length_b 7.4985
_cell_length_c 6.8771
_cell_angle_alpha 63.00
_cell_angle_beta 62.54
_cell_angle_gamma 54.47
_space_group_name_H-M_alt 'P 1'
_space_group_IT_number 1
loop_
_space_group_symop_operation_xyz
'x,y,z'
loop_
_atom_site_label
_atom_site_fract_x
_atom_site_fract_y
_atom_site_fract_z
Sr1 0.1751 0.8249 0.8249
Sr2 0.2500 0.2500 0.2500
Sr3 0.7500 0.7500 0.7500
Sr4 0.8249 0.1751 0.1751
La1 0.3192 0.6808 0.3192
La2 0.6808 0.3192 0.6808
Ga1 0.2485 0.2485 0.7515
Ga2 0.7515 0.7515 0.2485
O1 0.0000 0.0000 0.5000
O2 0.0026 0.7067 0.2933
O3 0.2138 0.4989 0.7862
O4 0.2933 0.9974 0.0026
O5 0.4989 0.2138 0.5011
O6 0.5000 0.5000 0.0000
O7 0.5011 0.7862 0.4989
O8 0.7067 0.0026 0.9974
O9 0.7862 0.5011 0.2138
O10 0.9974 0.2933 0.7067
```



Record 6
# SrEuNb4O12
Theoretical X-ray diffraction stick pattern, Cu Kα, 1.54184 Å. Input: a DFT-relaxed cell (PBE, Alexandria).
Lines closer than 0.1° are merged.

Most intense lines, 2θ = 15–90°, by angle:
| d_spacing | 2θ (°) | I/Imax |
| --- | --- | --- |
| 4.631 | 19.17 | 100.0 |
| 2.858 | 31.30 | 75.9 |
| 2.839 | 31.51 | 79.9 |
| 2.811 | 31.84 | 76.4 |
| 2.000 | 45.34 | 29.7 |
| 1.975 | 45.94 | 29.1 |
| 1.635 | 56.26 | 31.5 |
| 1.625 | 56.65 | 30.5 |

Structural model:
```
data_SrEuNb4O12
_chemical_formula_sum 'Sr1 Eu1 Nb4 O12'
_cell_length_a 8.0014
_cell_length_b 5.6813
_cell_length_c 5.6813
_cell_angle_alpha 88.10
_cell_angle_beta 90.00
_cell_angle_gamma 90.00
_space_group_name_H-M_alt 'P 1'
_space_group_IT_number 1
loop_
_space_group_symop_operation_xyz
'x,y,z'
loop_
_atom_site_label
_atom_site_fract_x
_atom_site_fract_y
_atom_site_fract_z
Sr1 0.0000 0.0000 0.0000
Eu1 0.5000 0.5527 0.5527
Nb1 0.2503 0.0263 0.5142
Nb2 0.2503 0.5142 0.0263
Nb3 0.7497 0.0263 0.5142
Nb4 0.7497 0.5142 0.0263
O1 0.0000 0.5218 0.9905
O2 0.0000 0.9905 0.5218
O3 0.2293 0.2111 0.2111
O4 0.2572 0.2819 0.7152
O5 0.2572 0.7152 0.2819
O6 0.2650 0.7723 0.7723
O7 0.5000 0.0068 0.4810
O8 0.5000 0.4810 0.0068
O9 0.7350 0.7723 0.7723
O10 0.7428 0.2819 0.7152
O11 0.7428 0.7152 0.2819
O12 0.7707 0.2111 0.2111
```



> Number 4 is which compound?

Pm3Ag3Au